SrAgCl4: calculated powder diffraction line list (copper Kα), based on a GGA-PBE-relaxed structure.
Peak positions follow from Bragg's law for the DFT cell and can differ from measured ones.

The 12 most intense peaks (15 to 90 degrees two-theta), most intense first:
index  Position (°2θ)  I (rel.)
0 2 0  19.67  100
1 1 1  23.85  97
1 3 1  37.07  62
2 0 0  36.96  46
0 3 2  38.14  28
2 2 0  42.21  27
0 2 2  30.75  25
0 1 2  25.43  25
0 1 3  36.85  24
2 4 0  55.57  23
0 1 1  15.24  23
0 4 0  39.94  22

Atomic structure:
Lattice parameters (Å, degrees): 4.8638 9.0288 7.6001 90.00 90.00 90.00
Fractional coordinates of all 12 atoms:
Sr1 0.2500 0.2500 0.0099
Sr2 0.7500 0.7500 0.9901
Ag1 0.2500 0.7500 0.4195
Ag2 0.7500 0.2500 0.5805
Cl1 0.2500 0.2500 0.5957
Cl2 0.2500 0.5652 0.1480
Cl3 0.2500 0.7500 0.7404
Cl4 0.2500 0.9348 0.1480
Cl5 0.7500 0.0652 0.8520
Cl6 0.7500 0.2500 0.2596
Cl7 0.7500 0.4348 0.8520
Cl8 0.7500 0.7500 0.4043